TiB12: theoretical PXRD pattern (Cu Kα (weighted mean of Kα1 and Kα2)), based on a crystal structure in the Materials Project, relaxed with PBE.
No peak broadening, texture or thermal motion is included.

```
data_TiB12
_chemical_formula_sum 'Ti1 B12'
_symmetry_space_group_name_H-M 'P 1'
_symmetry_Int_Tables_number 1
_symmetry_space_group_name_Hall 'P 1'
_cell_length_a 5.1987
_cell_length_b 5.1987
_cell_length_c 5.1987
_cell_angle_alpha 60.00
_cell_angle_beta 60.00
_cell_angle_gamma 60.00
loop_
_atom_site_label
_atom_site_type_symbol
_atom_site_fract_x
_atom_site_fract_y
_atom_site_fract_z
_atom_site_occupancy
Ti1 Ti 0.0000 0.0000 0.0000 1
B1 B 0.1606 0.5000 0.5000 1
B2 B 0.1606 0.5000 0.8394 1
B3 B 0.1606 0.8394 0.5000 1
B4 B 0.5000 0.1606 0.5000 1
B5 B 0.5000 0.1606 0.8394 1
B6 B 0.5000 0.5000 0.1606 1
B7 B 0.5000 0.5000 0.8394 1
B8 B 0.5000 0.8394 0.1606 1
B9 B 0.5000 0.8394 0.5000 1
B10 B 0.8394 0.1606 0.5000 1
B11 B 0.8394 0.5000 0.1606 1
B12 B 0.8394 0.5000 0.5000 1
```

Peak list (10 most intense, 2θ from 10° to 90°, low angle first)
2theta	Rel. int.
20.9	182
24.2	451
34.5	82
40.7	1000
42.6	317
49.6	72
54.4	175
61.8	246
76.7	260
78.0	226

TiB2: theoretical PXRD pattern (Cu Kα (weighted mean of Kα1 and Kα2)), based on a crystal structure in the Materials Project, relaxed with PBE.
No peak broadening, texture or thermal motion is included.

```
data_TiB2
_chemical_formula_sum 'Ti1 B2'
_symmetry_space_group_name_H-M 'P 1'
_symmetry_Int_Tables_number 1
_symmetry_space_group_name_Hall 'P 1'
_cell_length_a 3.0351
_cell_length_b 3.0351
_cell_length_c 3.2232
_cell_angle_alpha 90.00
_cell_angle_beta 90.00
_cell_angle_gamma 120.00
loop_
_atom_site_label
_atom_site_type_symbol
_atom_site_fract_x
_atom_site_fract_y
_atom_site_fract_z
_atom_site_occupancy
Ti1 Ti 0.0000 0.0000 0.0000 1
B1 B 0.3333 0.6667 0.5000 1
B2 B 0.6667 0.3333 0.5000 1
```

Peak list (9 most intense, 2θ from 10° to 90°, low angle first)
2theta	Rel. int.
27.7	198
34.1	574
44.5	1000
57.2	92
61.1	222
68.3	221
71.8	56
78.6	157
88.5	152

TiB2W: theoretical PXRD pattern (Cu Kα (weighted mean of Kα1 and Kα2)), based on a crystal structure in the Materials Project, relaxed with PBE.
No peak broadening, texture or thermal motion is included.

```
data_TiB2W
_chemical_formula_sum 'Ti1 B2 W1'
_symmetry_space_group_name_H-M 'P 1'
_symmetry_Int_Tables_number 1
_symmetry_space_group_name_Hall 'P 1'
_cell_length_a 3.0853
_cell_length_b 4.5044
_cell_length_c 4.5044
_cell_angle_alpha 41.43
_cell_angle_beta 90.00
_cell_angle_gamma 90.00
loop_
_atom_site_label
_atom_site_type_symbol
_atom_site_fract_x
_atom_site_fract_y
_atom_site_fract_z
_atom_site_occupancy
Ti1 Ti 0.0000 0.0000 0.0000 1
B1 B 0.0000 0.7065 0.7065 1
B2 B 0.5000 0.5856 0.5856 1
W1 W 0.5000 0.2926 0.2926 1
```

Peak list (10 most intense, 2θ from 10° to 90°, low angle first)
2theta	Rel. int.
21.1	651
28.9	290
30.0	792
36.1	835
42.2	1000
42.9	814
52.6	518
68.5	160
70.1	481
76.5	292